Record 1
For MnOF, a structure optimized by DFT (GGA+U) gives the simulated powder XRD pattern in this record (a wavelength of 1.5418 Å).
No peak broadening, texture or thermal motion is included.

Atomic structure:
Lattice parameters (Å, degrees): 4.6234 5.1235 11.5399 89.61 87.25 89.88
Fractional coordinates of all 24 atoms:
Mn  0.0000  0.0000  0.0000
Mn  0.0013  0.5074  0.8500
Mn  0.4765  0.9453  0.2455
Mn  0.4893  0.4486  0.0967
Mn  0.4997  0.5056  0.5976
Mn  0.5233  0.9613  0.7498
Mn  0.9408  0.0087  0.4947
Mn  0.9715  0.5036  0.3436
O  0.2668  0.6244  0.2292
O  0.2770  0.1293  0.1142
O  0.2911  0.6597  0.7338
O  0.7264  0.8202  0.6146
O  0.7475  0.8125  0.3566
O  0.7500  0.3376  0.4799
O  0.7857  0.3217  0.9804
O  0.8012  0.8277  0.8718
F  0.2072  0.1743  0.3699
F  0.2068  0.7052  0.4833
F  0.2518  0.6834  0.9818
F  0.2566  0.1787  0.8553
F  0.2673  0.1859  0.6113
F  0.7257  0.2624  0.2332
F  0.7401  0.7614  0.1125
F  0.7460  0.2877  0.7311

Peak list (10 most intense, 10 to 90 degrees two-theta, by angle)
| Position (°2θ) | d [Å] | I (rel.) |
| --- | --- | --- |
| 24.11 | 3.691 | 67.7 |
| 25.28 | 3.522 | 59.7 |
| 29.75 | 3.003 | 52.7 |
| 29.92 | 2.987 | 59.5 |
| 30.81 | 2.902 | 100.0 |
| 35.65 | 2.519 | 27.5 |
| 35.85 | 2.505 | 25.7 |
| 40.26 | 2.240 | 31.4 |
| 53.37 | 1.717 | 27.0 |
| 55.14 | 1.666 | 35.9 |

=====

Record 2
For Li3Co2O5, a structure optimized by DFT (GGA+U) gives the simulated powder XRD pattern in this record (a wavelength of 1.5418 Å).
No peak broadening, texture or thermal motion is included.

Atomic structure:
Lattice parameters (Å, degrees): 12.1025 12.1025 5.0477 95.60 95.60 14.05
Fractional coordinates of all 20 atoms:
Li  0.0000  0.0000  0.0000
Li  0.0995  0.0995  0.7027
Li  0.3004  0.3004  0.0991
Li  0.5000  0.5000  0.5000
Li  0.6996  0.6996  0.9009
Li  0.9005  0.9005  0.2973
Co  0.1994  0.1994  0.3920
Co  0.4046  0.4046  0.8110
Co  0.5954  0.5954  0.1890
Co  0.8006  0.8006  0.6080
O  0.0538  0.0538  0.3448
O  0.1477  0.1477  0.0629
O  0.2518  0.2518  0.7328
O  0.3503  0.3503  0.4910
O  0.4448  0.4448  0.1149
O  0.5552  0.5552  0.8851
O  0.6497  0.6497  0.5090
O  0.7482  0.7482  0.2672
O  0.8523  0.8523  0.9371
O  0.9462  0.9462  0.6552

Peak list (10 most intense, 10 to 90 degrees two-theta, by angle)
| Position (°2θ) | d [Å] | I (rel.) |
| --- | --- | --- |
| 18.47 | 4.803 | 100.0 |
| 35.67 | 2.517 | 31.9 |
| 36.46 | 2.464 | 13.5 |
| 37.59 | 2.393 | 10.0 |
| 43.21 | 2.094 | 61.5 |
| 44.49 | 2.036 | 26.1 |
| 57.15 | 1.612 | 9.7 |
| 62.76 | 1.481 | 16.7 |
| 63.63 | 1.462 | 14.9 |
| 63.87 | 1.457 | 15.2 |

=====

Record 3
For Ca6Pr6Mn11CrO36, a structure optimized by DFT (GGA+U) gives the simulated powder XRD pattern in this record (a wavelength of 1.5418 Å).
No peak broadening, texture or thermal motion is included.

Atomic structure:
Lattice parameters (Å, degrees): 5.4546 5.5032 23.1185 90.01 90.00 90.00
Fractional coordinates of all 60 atoms:
Ca  0.0000  0.0000  0.0000
Ca  0.0001  0.0002  0.3333
Ca  0.4994  0.5841  0.1666
Ca  0.5000  0.5837  0.8335
Ca  0.5006  0.5853  0.5000
Ca  0.9992  0.9995  0.6668
Pr  0.4812  0.5041  0.6667
Pr  0.4822  0.5062  0.3333
Pr  0.4825  0.5059  0.0001
Pr  0.9817  0.0784  0.1666
Pr  0.9823  0.0780  0.8334
Pr  0.9826  0.0790  0.5000
Mn  0.4894  0.0411  0.2501
Mn  0.4902  0.0405  0.7498
Mn  0.4901  0.0412  0.0832
Mn  0.4914  0.0413  0.9169
Mn  0.4907  0.0417  0.4166
Mn  0.9903  0.5431  0.0835
Mn  0.9897  0.5433  0.2498
Mn  0.9902  0.5429  0.5832
Mn  0.9898  0.5428  0.7502
Mn  0.9907  0.5434  0.4168
Mn  0.9912  0.5429  0.9166
Cr  0.4902  0.0410  0.5836
O  0.0691  0.5264  0.1664
O  0.0687  0.5264  0.8337
O  0.0706  0.5261  0.5003
O  0.1982  0.2593  0.5980
O  0.2062  0.2571  0.7363
O  0.2060  0.2577  0.0694
O  0.2061  0.2579  0.2638
O  0.2065  0.2582  0.4025
O  0.2067  0.2579  0.9307
O  0.2710  0.7527  0.5970
O  0.2721  0.7599  0.0704
O  0.2721  0.7601  0.2628
O  0.2724  0.7603  0.4035
O  0.2724  0.7599  0.7373
O  0.2723  0.7602  0.9297
O  0.4150  0.0239  0.4989
O  0.4177  0.0254  0.1669
O  0.4180  0.0249  0.8328
O  0.5690  0.0581  0.9998
O  0.5695  0.0588  0.3340
O  0.5717  0.0591  0.6678
O  0.7061  0.3263  0.2359
O  0.7064  0.3260  0.7643
O  0.7062  0.3266  0.0973
O  0.7060  0.3266  0.4306
O  0.7068  0.3263  0.9029
O  0.7078  0.3332  0.5688
O  0.7720  0.8239  0.0963
O  0.7717  0.8242  0.2370
O  0.7720  0.8243  0.4294
O  0.7721  0.8238  0.7632
O  0.7724  0.8238  0.9040
O  0.7803  0.8224  0.5696
O  0.9165  0.5597  0.6664
O  0.9180  0.5591  0.0003
O  0.9184  0.5590  0.3330

Peak list (10 most intense, 10 to 90 degrees two-theta, by angle)
| Position (°2θ) | d [Å] | I (rel.) |
| --- | --- | --- |
| 19.82 | 4.478 | 19.0 |
| 19.94 | 4.452 | 20.0 |
| 32.54 | 2.752 | 18.8 |
| 32.79 | 2.731 | 100.0 |
| 38.69 | 2.328 | 17.6 |
| 46.91 | 1.937 | 25.1 |
| 47.18 | 1.927 | 13.5 |
| 58.21 | 1.585 | 11.8 |
| 58.62 | 1.575 | 26.6 |
| 68.72 | 1.366 | 12.4 |

=====

Record 4
For Al5Ni3O12, a structure optimized by DFT (GGA+U) gives the simulated powder XRD pattern in this record (a wavelength of 1.5418 Å).
No peak broadening, texture or thermal motion is included.

Atomic structure:
Lattice parameters (Å, degrees): 5.6807 5.6970 14.0800 89.20 88.25 60.13
Fractional coordinates of all 40 atoms:
Al  0.0000  0.0000  0.0000
Al  0.0047  0.4983  0.8684
Al  0.1860  0.6547  0.5338
Al  0.3273  0.3376  0.3251
Al  0.3443  0.3277  0.7030
Al  0.3605  0.3187  0.0790
Al  0.5036  0.9948  0.8683
Al  0.6773  0.1584  0.5343
Al  0.6880  0.6544  0.4087
Al  0.8421  0.3277  0.2024
Ni  0.0127  0.9930  0.3658
Ni  0.0177  0.9993  0.7375
Ni  0.1852  0.1585  0.5352
Ni  0.5043  0.4981  0.8721
Ni  0.6751  0.6626  0.0390
Ni  0.8426  0.8275  0.2033
O  0.0190  0.4704  0.1236
O  0.0560  0.4670  0.6117
O  0.1452  0.6842  0.2871
O  0.1456  0.1743  0.2871
O  0.1788  0.6282  0.7876
O  0.1914  0.1810  0.7967
O  0.3384  0.3293  0.9478
O  0.3422  0.8407  0.9517
O  0.3440  0.8215  0.4554
O  0.3596  0.3370  0.4520
O  0.4866  0.0357  0.6126
O  0.4882  0.4672  0.6096
O  0.5413  0.4807  0.1174
O  0.5413  0.9713  0.1170
O  0.6413  0.1674  0.7886
O  0.6695  0.1824  0.2808
O  0.6741  0.6606  0.8081
O  0.7027  0.6454  0.2821
O  0.8336  0.8240  0.9508
O  0.8423  0.3469  0.9541
O  0.8545  0.3063  0.4539
O  0.8557  0.8327  0.4526
O  0.9862  0.0063  0.1255
O  0.9940  0.9744  0.6006

Peak list (10 most intense, 10 to 90 degrees two-theta, by angle)
| Position (°2θ) | d [Å] | I (rel.) |
| --- | --- | --- |
| 19.03 | 4.663 | 54.8 |
| 19.26 | 4.609 | 100.0 |
| 31.39 | 2.849 | 46.4 |
| 36.33 | 2.473 | 48.4 |
| 36.67 | 2.451 | 51.8 |
| 37.19 | 2.418 | 70.7 |
| 44.33 | 2.044 | 46.1 |
| 44.87 | 2.020 | 44.7 |
| 45.52 | 1.993 | 43.1 |
| 65.53 | 1.424 | 53.5 |

=====

Record 5
For CaCoWO6, a structure optimized by DFT (GGA+U) gives the simulated powder XRD pattern in this record (a wavelength of 1.5418 Å).
No peak broadening, texture or thermal motion is included.

Atomic structure:
Lattice parameters (Å, degrees): 5.2993 5.3501 9.1809 90.00 125.19 90.00
Fractional coordinates of all 18 atoms:
Ca  0.0000  0.2042  0.0000
Ca  0.0000  0.7958  0.5000
Co  0.7392  0.2449  0.2490
Co  0.7392  0.7551  0.7490
W  0.2380  0.2646  0.7496
W  0.2380  0.7354  0.2496
O  0.0578  0.0305  0.2833
O  0.0578  0.9695  0.7833
O  0.4175  0.4566  0.2132
O  0.4175  0.5434  0.7132
O  0.5001  0.0324  0.7198
O  0.5001  0.9676  0.2198
O  0.5660  0.2577  0.0047
O  0.5660  0.7423  0.5047
O  0.9216  0.2424  0.4962
O  0.9216  0.7576  0.9962
O  0.9831  0.4685  0.7863
O  0.9831  0.5315  0.2863

Peak list (10 most intense, 10 to 90 degrees two-theta, by angle)
| Position (°2θ) | d [Å] | I (rel.) |
| --- | --- | --- |
| 20.39 | 4.356 | 26.5 |
| 20.52 | 4.329 | 26.6 |
| 23.66 | 3.761 | 100.0 |
| 33.50 | 2.675 | 16.0 |
| 33.73 | 2.658 | 63.4 |
| 33.83 | 2.650 | 15.5 |
| 39.82 | 2.264 | 21.9 |
| 48.35 | 1.882 | 21.4 |
| 54.68 | 1.678 | 19.4 |
| 60.46 | 1.531 | 21.3 |

=====

Record 6
For MgV4ZnO10, a structure optimized by DFT (GGA+U) gives the simulated powder XRD pattern in this record (a wavelength of 1.5418 Å).
No peak broadening, texture or thermal motion is included.

Atomic structure:
Lattice parameters (Å, degrees): 3.5208 11.7755 5.3378 90.00 105.36 90.00
Fractional coordinates of all 16 atoms:
Mg  0.0000  0.0000  0.0000
V  0.3709  0.1481  0.5450
V  0.3709  0.8519  0.5450
V  0.8078  0.3501  0.3894
V  0.8078  0.6499  0.3894
Zn  0.4805  0.5000  0.7934
O  0.2830  0.0000  0.3694
O  0.3660  0.3206  0.5317
O  0.3660  0.6794  0.5317
O  0.4923  0.1073  0.8659
O  0.4923  0.8927  0.8659
O  0.6635  0.3823  0.0729
O  0.6635  0.6177  0.0729
O  0.8189  0.1814  0.4149
O  0.8189  0.8186  0.4149
O  0.8991  0.5000  0.5867

Peak list (10 most intense, 10 to 90 degrees two-theta, by angle)
| Position (°2θ) | d [Å] | I (rel.) |
| --- | --- | --- |
| 17.23 | 5.147 | 100.0 |
| 22.95 | 3.875 | 74.4 |
| 26.25 | 3.395 | 22.1 |
| 27.36 | 3.260 | 66.2 |
| 28.42 | 3.140 | 38.1 |
| 28.60 | 3.121 | 60.5 |
| 34.92 | 2.570 | 53.2 |
| 35.12 | 2.555 | 25.1 |
| 46.26 | 1.963 | 23.2 |
| 52.07 | 1.756 | 28.8 |

=====

Record 7
For MgMn2P2H4O10, a structure optimized by DFT (GGA+U) gives the simulated powder XRD pattern in this record (a wavelength of 1.5418 Å).
No peak broadening, texture or thermal motion is included.

Atomic structure:
Lattice parameters (Å, degrees): 5.3076 5.5229 7.8226 102.56 106.89 98.51
Fractional coordinates of all 19 atoms:
Mg  0.0000  0.0000  0.0000
Mn  0.4218  0.6629  0.1249
Mn  0.8934  0.0969  0.5793
P  0.3225  0.2299  0.3639
P  0.5148  0.1116  0.8919
H  0.7747  0.5572  0.4062
H  0.8161  0.5141  0.9233
H  0.9571  0.5839  0.7705
H  0.9720  0.7428  0.3316
O  0.1882  0.2991  0.5097
O  0.2039  0.0224  0.8094
O  0.2224  0.3479  0.1970
O  0.2287  0.9334  0.2620
O  0.5914  0.4073  0.9675
O  0.6248  0.9810  0.0485
O  0.6353  0.3152  0.4516
O  0.6775  0.0362  0.7607
O  0.8117  0.7265  0.3736
O  0.9888  0.6145  0.9036

Peak list (10 most intense, 10 to 90 degrees two-theta, by angle)
| Position (°2θ) | d [Å] | I (rel.) |
| --- | --- | --- |
| 12.30 | 7.196 | 30.2 |
| 16.88 | 5.251 | 81.0 |
| 17.96 | 4.940 | 27.1 |
| 18.05 | 4.915 | 34.4 |
| 23.56 | 3.776 | 82.6 |
| 25.02 | 3.559 | 68.4 |
| 25.27 | 3.524 | 25.9 |
| 28.94 | 3.085 | 78.6 |
| 32.09 | 2.789 | 49.6 |
| 34.18 | 2.623 | 100.0 |